# 1
Structure and simulated XRD peak list of TmCuS2 (a PBE-relaxed structure; Cu Ka).
Kinematic intensities with the Lorentz-polarization factor, no thermal factor.

The 6 most intense peaks (10 to 90 degrees two-theta), sorted by position:
two_theta	I (rel.)	hkl
15.73	43.8	1 0 1
24.70	100.0	3 0 1
27.74	96.2	1 1 1
33.80	58.4	3 1 1
39.41	80.8	2 1 2
47.22	51.3	6 1 0

Structural model:
a = 13.263 Å, b = 3.917 Å, c = 6.221 Å
α = 90.00°, β = 90.00°, γ = 90.00°
Fractional positions:
Tm  0.133  0.250  0.002
Tm  0.367  0.750  0.502
Tm  0.633  0.250  0.498
Tm  0.867  0.750  0.998
Cu  0.046  0.750  0.377
Cu  0.454  0.250  0.877
Cu  0.546  0.750  0.123
Cu  0.954  0.250  0.623
S  0.040  0.750  0.757
S  0.206  0.750  0.238
S  0.294  0.250  0.738
S  0.460  0.250  0.257
S  0.540  0.750  0.743
S  0.706  0.750  0.262
S  0.794  0.250  0.762
S  0.960  0.250  0.243

---

# 2
Structure and simulated XRD peak list of MnNi5N4 (a PBE-relaxed structure; Cu Ka).
Kinematic intensities with the Lorentz-polarization factor, no thermal factor.

The 6 most intense peaks (10 to 90 degrees two-theta), sorted by position:
two_theta	I (rel.)	hkl
37.46	24.5	2 2 0
38.26	100.0	0 3 1
39.12	87.1	2 1 1
42.99	19.9	0 0 2
53.35	19.3	2 4 0
58.32	18.9	2 2 2

Structural model:
a = 5.814 Å, b = 8.512 Å, c = 4.208 Å
α = 90.00°, β = 90.00°, γ = 90.00°
Fractional positions:
Mn  0.250  0.250  0.238
Mn  0.750  0.750  0.762
Ni  0.037  0.592  0.203
Ni  0.037  0.908  0.203
Ni  0.250  0.750  0.681
Ni  0.463  0.592  0.203
Ni  0.463  0.908  0.203
Ni  0.537  0.092  0.797
Ni  0.537  0.408  0.797
Ni  0.750  0.250  0.319
Ni  0.963  0.092  0.797
Ni  0.963  0.408  0.797
N  0.026  0.250  0.517
N  0.250  0.060  0.025
N  0.250  0.440  0.025
N  0.474  0.250  0.517
N  0.526  0.750  0.483
N  0.750  0.560  0.975
N  0.750  0.940  0.975
N  0.974  0.750  0.483

---

# 3
Structure and simulated XRD peak list of Sm8MgTi4O20 (a PBE-relaxed structure; Cu Ka).
Kinematic intensities with the Lorentz-polarization factor, no thermal factor.

The 6 most intense peaks (10 to 90 degrees two-theta), sorted by position:
two_theta	I (rel.)	hkl
26.89	38.3	2 0 -3
29.45	54.2	2 0 3
29.98	100.0	0 1 3
33.05	44.2	2 1 0
49.73	39.1	0 2 0
50.52	22.5	2 1 6

Structural model:
a = 8.088 Å, b = 3.665 Å, c = 15.427 Å
α = 90.00°, β = 95.26°, γ = 90.00°
Fractional positions:
Sm  0.000  0.000  0.000
Sm  0.000  0.000  0.366
Sm  0.201  0.500  0.191
Sm  0.282  0.500  0.834
Sm  0.512  0.000  0.334
Sm  0.534  0.000  0.670
Sm  0.807  0.500  0.535
Sm  0.874  0.500  0.790
Mg  0.630  0.500  0.916
Ti  0.098  0.000  0.663
Ti  0.299  0.500  0.511
Ti  0.482  0.000  0.047
Ti  0.753  0.500  0.170
O  0.036  0.000  0.787
O  0.053  0.500  0.644
O  0.056  0.500  0.455
O  0.073  0.500  0.922
O  0.222  0.000  0.279
O  0.261  0.000  0.557
O  0.281  0.000  0.095
O  0.305  0.000  0.737
O  0.397  0.500  0.412
O  0.415  0.000  0.922
O  0.527  0.500  0.581
O  0.536  0.500  0.243
O  0.562  0.500  0.038
O  0.588  0.500  0.781
O  0.698  0.000  0.138
O  0.750  0.000  0.435
O  0.769  0.000  0.908
O  0.814  0.000  0.643
O  0.911  0.500  0.268
O  0.960  0.500  0.098

---

# 4
Structure and simulated XRD peak list of TlB3O5 (a PBE-relaxed structure; Cu Ka).
Kinematic intensities with the Lorentz-polarization factor, no thermal factor.

The 6 most intense peaks (10 to 90 degrees two-theta), sorted by position:
two_theta	I (rel.)	hkl
13.55	38.2	0 1 1
18.44	24.2	1 0 1
21.17	29.4	0 2 0
25.99	100.0	1 1 2
27.83	23.0	0 1 3
28.22	43.2	1 2 1

Structural model:
a = 5.426 Å, b = 8.394 Å, c = 10.408 Å
α = 90.00°, β = 90.00°, γ = 90.00°
Fractional positions:
Tl  0.040  0.232  0.363
Tl  0.460  0.768  0.863
Tl  0.540  0.268  0.637
Tl  0.960  0.732  0.137
B  0.035  0.936  0.692
B  0.090  0.151  0.855
B  0.204  0.619  0.459
B  0.296  0.381  0.959
B  0.410  0.849  0.355
B  0.465  0.064  0.192
B  0.535  0.564  0.308
B  0.590  0.349  0.145
B  0.704  0.881  0.541
B  0.796  0.119  0.041
B  0.910  0.651  0.645
B  0.965  0.436  0.808
O  0.063  0.557  0.554
O  0.066  0.775  0.709
O  0.147  0.493  0.892
O  0.186  0.039  0.757
O  0.200  0.774  0.421
O  0.300  0.226  0.921
O  0.314  0.961  0.257
O  0.353  0.507  0.392
O  0.434  0.225  0.209
O  0.437  0.443  0.054
O  0.563  0.943  0.446
O  0.566  0.725  0.291
O  0.647  0.007  0.108
O  0.686  0.461  0.243
O  0.700  0.726  0.579
O  0.800  0.274  0.079
O  0.814  0.539  0.743
O  0.853  0.993  0.608
O  0.934  0.275  0.791
O  0.937  0.057  0.946

---

# 5
Structure and simulated XRD peak list of CsRbMg6O7 (a PBE-relaxed structure; Cu Ka).
Kinematic intensities with the Lorentz-polarization factor, no thermal factor.

The 6 most intense peaks (10 to 90 degrees two-theta), sorted by position:
two_theta	I (rel.)	hkl
17.34	50.9	1 0 0
28.29	33.0	1 0 2
33.37	44.2	1 1 2
35.08	100.0	2 0 0
37.99	24.3	1 0 3
50.46	32.5	2 2 0

Structural model:
a = 5.116 Å, b = 5.116 Å, c = 8.016 Å
α = 90.00°, β = 90.00°, γ = 90.00°
Fractional positions:
Cs  0.000  0.000  0.000
Rb  0.000  0.000  0.595
Mg  0.000  0.500  0.319
Mg  0.000  0.500  0.820
Mg  0.500  0.000  0.319
Mg  0.500  0.000  0.820
Mg  0.500  0.500  0.076
Mg  0.500  0.500  0.569
O  0.000  0.000  0.302
O  0.000  0.500  0.067
O  0.000  0.500  0.578
O  0.500  0.000  0.067
O  0.500  0.000  0.578
O  0.500  0.500  0.322
O  0.500  0.500  0.823

---

# 6
Structure and simulated XRD peak list of Ta6Te3S (a PBE-relaxed structure; Cu Ka).
Kinematic intensities with the Lorentz-polarization factor, no thermal factor.

The 6 most intense peaks (10 to 90 degrees two-theta), sorted by position:
two_theta	I (rel.)	hkl
36.12	85.8	2 3 4
36.42	100.0	-2 2 4
36.69	86.8	1 -4 0
37.46	83.7	3 -1 4
38.30	94.3	-4 1 1
40.37	82.0	3 3 4

Structural model:
a = 10.205 Å, b = 10.388 Å, c = 13.892 Å
α = 79.41°, β = 81.36°, γ = 86.17°
Fractional positions:
Ta  0.000  0.000  0.000
Ta  0.000  0.000  0.500
Ta  0.029  0.902  0.188
Ta  0.050  0.509  0.592
Ta  0.058  0.793  0.854
Ta  0.069  0.760  0.393
Ta  0.071  0.266  0.932
Ta  0.099  0.758  0.636
Ta  0.104  0.630  0.221
Ta  0.115  0.520  0.808
Ta  0.118  0.499  0.038
Ta  0.131  0.066  0.308
Ta  0.135  0.356  0.251
Ta  0.144  0.035  0.646
Ta  0.147  0.248  0.464
Ta  0.165  0.285  0.707
Ta  0.211  0.780  0.025
Ta  0.237  0.025  0.837
Ta  0.262  0.057  0.033
Ta  0.738  0.943  0.967
Ta  0.763  0.975  0.163
Ta  0.789  0.220  0.975
Ta  0.835  0.715  0.293
Ta  0.853  0.752  0.536
Ta  0.856  0.965  0.354
Ta  0.865  0.644  0.749
Ta  0.869  0.934  0.692
Ta  0.882  0.501  0.962
Ta  0.885  0.480  0.192
Ta  0.896  0.370  0.779
Ta  0.901  0.242  0.364
Ta  0.929  0.734  0.068
Ta  0.931  0.240  0.607
Ta  0.942  0.207  0.146
Ta  0.950  0.491  0.408
Ta  0.971  0.098  0.812
Te  0.229  0.517  0.406
Te  0.264  0.886  0.468
Te  0.297  0.860  0.211
Te  0.307  0.540  0.642
Te  0.347  0.261  0.856
Te  0.347  0.532  0.126
Te  0.360  0.205  0.310
Te  0.368  0.187  0.574
Te  0.457  0.888  0.926
Te  0.543  0.112  0.074
Te  0.632  0.813  0.426
Te  0.640  0.795  0.690
Te  0.653  0.468  0.874
Te  0.653  0.739  0.144
Te  0.693  0.460  0.358
Te  0.703  0.140  0.789
Te  0.736  0.114  0.532
Te  0.771  0.483  0.594
S  0.179  0.261  0.094
S  0.251  0.634  0.896
S  0.267  0.850  0.731
S  0.733  0.150  0.269
S  0.749  0.366  0.104
S  0.821  0.739  0.906